1.
Starting from DFT lattice parameters and positions (GGA-PBE), the powder X-ray diffraction pattern of PaBe2ReO8 was simulated for copper Kα.

Top 6 peaks for 2θ from 10° to 80°, in order of falling intensity:
20.58 deg, I = 100, (1 0 0)
35.24 deg, I = 48, (1 0 2)
46.45 deg, I = 30, (1 1 2)
36.05 deg, I = 27, (1 1 0)
51.30 deg, I = 22, (2 0 2)
64.30 deg, I = 18, (2 1 2)

Crystal structure
```
data_PaBe2ReO8
_chemical_formula_sum 'Pa1 Be2 Re1 O8'
_space_group_name_H-M_alt 'P -3 m 1'
_space_group_IT_number 164
_space_group_name_Hall '-P 3 2"'
_cell_length_a 4.9827
_cell_length_b 4.9827
_cell_length_c 6.3087
_cell_angle_alpha 90.00
_cell_angle_beta 90.00
_cell_angle_gamma 120.00
loop_
_atom_site_label
_atom_site_type_symbol
_atom_site_fract_x
_atom_site_fract_y
_atom_site_fract_z
_atom_site_occupancy
Pa1 Pa 0.0000 0.0000 0.0000 1
Be1 Be 0.3333 0.6667 0.2048 1
Re1 Re 0.0000 0.0000 0.5000 1
O1 O 0.1647 0.3294 0.3073 1
O2 O 0.3333 0.6667 0.9609 1
```

2.
Starting from DFT lattice parameters and positions (GGA-PBE), the powder X-ray diffraction pattern of MgSi7Rh3 was simulated for copper Kα.

Top 6 peaks for 2θ from 10° to 80°, in order of falling intensity:
27.17 deg, I = 100, (1 1 3)
47.52 deg, I = 46, (1 1 9)
50.04 deg, I = 37, (0 3 6)
50.27 deg, I = 36, (2 2 3)
41.46 deg, I = 31, (3 0 0)
35.97 deg, I = 20, (1 1 6)

Crystal structure
```
data_MgSi7Rh3
_chemical_formula_sum 'Mg6 Si42 Rh18'
_space_group_name_H-M_alt 'R -3 c'
_space_group_IT_number 167
_space_group_name_Hall '-R 3 2"c'
_cell_length_a 7.5452
_cell_length_b 7.5452
_cell_length_c 19.9813
_cell_angle_alpha 90.00
_cell_angle_beta 90.00
_cell_angle_gamma 120.00
loop_
_atom_site_label
_atom_site_type_symbol
_atom_site_fract_x
_atom_site_fract_y
_atom_site_fract_z
_atom_site_occupancy
Mg1 Mg 0.0000 0.0000 0.0000 1
Si1 Si 0.0000 0.0000 0.2500 1
Si2 Si 0.0117 0.2024 0.1373 1
Rh1 Rh 0.0000 0.3241 0.2500 1
```

3.
Starting from DFT lattice parameters and positions (GGA-PBE), the powder X-ray diffraction pattern of AcHoGeRh was simulated for copper Kα.

Top 6 peaks for 2θ from 10° to 80°, in order of falling intensity:
34.62 deg, I = 100, (2 2 0)
62.04 deg, I = 37, (4 2 2)
49.76 deg, I = 18, (4 0 0)
24.29 deg, I = 15, (2 0 0)
73.03 deg, I = 12, (4 4 0)
56.12 deg, I = 7, (4 2 0)

Crystal structure
```
data_AcHoGeRh
_chemical_formula_sum 'Ac4 Ho4 Ge4 Rh4'
_space_group_name_H-M_alt 'F -4 3 m'
_space_group_IT_number 216
_space_group_name_Hall 'F -4 2 3'
_cell_length_a 7.3291
_cell_length_b 7.3291
_cell_length_c 7.3291
_cell_angle_alpha 90.00
_cell_angle_beta 90.00
_cell_angle_gamma 90.00
loop_
_atom_site_label
_atom_site_type_symbol
_atom_site_fract_x
_atom_site_fract_y
_atom_site_fract_z
_atom_site_occupancy
Ac1 Ac 0.0000 0.0000 0.0000 1
Ho1 Ho 0.0000 0.0000 0.5000 1
Ge1 Ge 0.2500 0.2500 0.2500 1
Rh1 Rh 0.2500 0.2500 0.7500 1
```

Please write out number 2 again, unchanged.
Starting from DFT lattice parameters and positions (GGA-PBE), the powder X-ray diffraction pattern of MgSi7Rh3 was simulated for copper Kα.

Top 6 peaks for 2θ from 10° to 80°, in order of falling intensity:
27.17 deg, I = 100, (1 1 3)
47.52 deg, I = 46, (1 1 9)
50.04 deg, I = 37, (0 3 6)
50.27 deg, I = 36, (2 2 3)
41.46 deg, I = 31, (3 0 0)
35.97 deg, I = 20, (1 1 6)

Crystal structure
```
data_MgSi7Rh3
_chemical_formula_sum 'Mg6 Si42 Rh18'
_space_group_name_H-M_alt 'R -3 c'
_space_group_IT_number 167
_space_group_name_Hall '-R 3 2"c'
_cell_length_a 7.5452
_cell_length_b 7.5452
_cell_length_c 19.9813
_cell_angle_alpha 90.00
_cell_angle_beta 90.00
_cell_angle_gamma 120.00
loop_
_atom_site_label
_atom_site_type_symbol
_atom_site_fract_x
_atom_site_fract_y
_atom_site_fract_z
_atom_site_occupancy
Mg1 Mg 0.0000 0.0000 0.0000 1
Si1 Si 0.0000 0.0000 0.2500 1
Si2 Si 0.0117 0.2024 0.1373 1
Rh1 Rh 0.0000 0.3241 0.2500 1
```

Copy entry 1 word for word.
Starting from DFT lattice parameters and positions (GGA-PBE), the powder X-ray diffraction pattern of PaBe2ReO8 was simulated for copper Kα.

Top 6 peaks for 2θ from 10° to 80°, in order of falling intensity:
20.58 deg, I = 100, (1 0 0)
35.24 deg, I = 48, (1 0 2)
46.45 deg, I = 30, (1 1 2)
36.05 deg, I = 27, (1 1 0)
51.30 deg, I = 22, (2 0 2)
64.30 deg, I = 18, (2 1 2)

Crystal structure
```
data_PaBe2ReO8
_chemical_formula_sum 'Pa1 Be2 Re1 O8'
_space_group_name_H-M_alt 'P -3 m 1'
_space_group_IT_number 164
_space_group_name_Hall '-P 3 2"'
_cell_length_a 4.9827
_cell_length_b 4.9827
_cell_length_c 6.3087
_cell_angle_alpha 90.00
_cell_angle_beta 90.00
_cell_angle_gamma 120.00
loop_
_atom_site_label
_atom_site_type_symbol
_atom_site_fract_x
_atom_site_fract_y
_atom_site_fract_z
_atom_site_occupancy
Pa1 Pa 0.0000 0.0000 0.0000 1
Be1 Be 0.3333 0.6667 0.2048 1
Re1 Re 0.0000 0.0000 0.5000 1
O1 O 0.1647 0.3294 0.3073 1
O2 O 0.3333 0.6667 0.9609 1
```